1.
Simulated powder diffractogram of ErCuTe2 for CuKα, from a crystal structure in the Materials Project, relaxed with PBE.

Cell and atoms:
```
data_ErCuTe2
_chemical_formula_sum 'Er1 Cu1 Te2'
_cell_length_a 4.2230
_cell_length_b 4.2230
_cell_length_c 6.6648
_cell_angle_alpha 90.00
_cell_angle_beta 90.00
_cell_angle_gamma 120.00
_space_group_name_H-M_alt 'P -3 m 1'
_space_group_IT_number 164
_space_group_name_Hall '-P 3 2"'
loop_
_atom_site_label
_atom_site_type_symbol
_atom_site_fract_x
_atom_site_fract_y
_atom_site_fract_z
Er1 Er 0.0000 0.0000 0.0000
Cu1 Cu 0.0000 0.0000 0.5000
Te1 Te 0.3333 0.6667 0.2755
```

The 10 most intense peaks (2θ = 5–70°), in order of rising 2θ:
2θ 24.34, intensity 13.5, hkl 1 0 0; 2θ 27.83, intensity 92.7, hkl 0 1 1; 2θ 36.48, intensity 100.0, hkl 1 0 2; 2θ 42.83, intensity 57.5, hkl 1 1 0; 2θ 47.91, intensity 13.5, hkl 1 0 3; 2θ 51.85, intensity 16.6, hkl 2 0 1; 2θ 55.12, intensity 7.3, hkl 0 0 4; 2θ 57.49, intensity 26.4, hkl 0 2 2; 2θ 60.49, intensity 8.2, hkl 1 1 3; 2θ 69.44, intensity 13.8, hkl 1 2 1



2.
Simulated powder diffractogram of ErTmCu2 for CuKα, from a crystal structure in the Materials Project, relaxed with PBE.

Cell and atoms:
```
data_ErTmCu2
_chemical_formula_sum 'Er4 Tm4 Cu8'
_cell_length_a 6.8149
_cell_length_b 6.8149
_cell_length_c 6.8149
_cell_angle_alpha 90.00
_cell_angle_beta 90.00
_cell_angle_gamma 90.00
_space_group_name_H-M_alt 'F m -3 m'
_space_group_IT_number 225
_space_group_name_Hall '-F 4 2 3'
loop_
_atom_site_label
_atom_site_type_symbol
_atom_site_fract_x
_atom_site_fract_y
_atom_site_fract_z
Er1 Er 0.0000 0.0000 0.0000
Tm1 Tm 0.0000 0.0000 0.5000
Cu1 Cu 0.2500 0.2500 0.2500
```

The 6 most intense peaks (2θ = 5–70°), in order of rising 2θ:
2θ 26.15, intensity 21.1, hkl 2 0 0; 2θ 37.32, intensity 100.0, hkl 2 2 0; 2θ 46.14, intensity 6.4, hkl 2 2 2; 2θ 53.81, intensity 17.2, hkl 4 0 0; 2θ 60.78, intensity 8.9, hkl 4 2 0; 2θ 67.31, intensity 34.5, hkl 4 2 2



3.
Simulated powder diffractogram of Er2ZnCu for CuKα, from a crystal structure in the Materials Project, relaxed with PBE.

Cell and atoms:
```
data_Er2ZnCu
_chemical_formula_sum 'Er8 Zn4 Cu4'
_cell_length_a 6.9888
_cell_length_b 6.9888
_cell_length_c 6.9888
_cell_angle_alpha 90.00
_cell_angle_beta 90.00
_cell_angle_gamma 90.00
_space_group_name_H-M_alt 'F m -3 m'
_space_group_IT_number 225
_space_group_name_Hall '-F 4 2 3'
loop_
_atom_site_label
_atom_site_type_symbol
_atom_site_fract_x
_atom_site_fract_y
_atom_site_fract_z
Er1 Er 0.2500 0.2500 0.2500
Zn1 Zn 0.0000 0.0000 0.0000
Cu1 Cu 0.0000 0.0000 0.5000
```

The 6 most intense peaks (2θ = 5–70°), in order of rising 2θ:
2θ 25.49, intensity 20.0, hkl 2 0 0; 2θ 36.36, intensity 100.0, hkl 2 2 0; 2θ 44.93, intensity 6.1, hkl 2 2 2; 2θ 52.37, intensity 17.4, hkl 4 0 0; 2θ 59.12, intensity 8.5, hkl 4 2 0; 2θ 65.42, intensity 35.2, hkl 4 2 2